Nd3Si2Sn2Pd4: simulated X-ray powder pattern (Cu Kα), based on a crystal structure in OQMD, relaxed with PBE.
Kinematic intensities with the Lorentz-polarization factor, no thermal factor.

The 10 most intense peaks (10 to 90 degrees two-theta), most intense first:
2theta	intensity	(hkl)
32.68	100	1 1 4
36.97	42	0 1 9
40.65	29	0 2 0
32.36	28	1 0 7
44.01	25	2 0 0
58.79	22	2 1 9
61.45	18	2 2 0
27.58	18	1 0 5
36.20	14	1 1 6
64.86	14	1 1 16

Structural model:
Unit cell a=4.115 b=4.439 c=26.161 alpha=90.00 beta=90.00 gamma=90.00
Space group Immm (No. 71)
Inequivalent atoms, fractional coordinates:
Nd 0.000 0.000 0.000
Nd 0.000 0.500 0.156
Si 0.000 0.500 0.300
Sn 0.000 0.000 0.446
Pd 0.000 0.000 0.250
Pd 0.000 0.500 0.391